Record 1
This entry pairs a crystal structure of Cs2Zr3AgO8 with its simulated X-ray powder pattern. Radiation: Cu Kα, 1.54184 Å. Structure: DFT lattice parameters and positions (PBE).
Peak positions follow from Bragg's law for the DFT cell and can differ from measured ones.

Principal peaks in the range 2θ = 15–90°, low angle first:
d_spacing	I_rel
3.648	100
3.309	56
3.014	59
2.842	50
2.772	63
2.539	86
2.113	49
1.979	48
1.655	51
1.507	48

```
data_Cs2Zr3AgO8
_chemical_formula_sum 'Cs6 Zr9 Ag3 O24'
_space_group_name_H-M_alt 'R 3 m'
_space_group_IT_number 160
_space_group_name_Hall 'R 3 -2"'
_cell_length_a 6.6183
_cell_length_b 6.6183
_cell_length_c 21.8859
_cell_angle_alpha 90.00
_cell_angle_beta 90.00
_cell_angle_gamma 120.00
loop_
_atom_site_label
_atom_site_type_symbol
_atom_site_fract_x
_atom_site_fract_y
_atom_site_fract_z
Cs1 Cs 0.0000 0.0000 0.0000
Cs2 Cs 0.0000 0.0000 0.3548
Zr1 Zr 0.1670 0.3341 0.1865
Ag1 Ag 0.0000 0.0000 0.8403
O1 O 0.0000 0.0000 0.1374
O2 O 0.0000 0.0000 0.5687
O3 O 0.0377 0.5189 0.1348
O4 O 0.1800 0.3599 0.9017
```

Record 2
This entry pairs a crystal structure of LaV2Co2 with its simulated X-ray powder pattern. Radiation: Cu Kα, 1.54184 Å. Structure: DFT lattice parameters and positions (PBE).
Peak positions follow from Bragg's law for the DFT cell and can differ from measured ones.

Principal peaks in the range 2θ = 15–90°, low angle first:
d_spacing	I_rel
2.902	31
2.582	100
2.508	81
2.052	58
1.792	23
1.606	45
1.451	18
1.441	21
1.350	17
1.256	17

```
data_LaV2Co2
_chemical_formula_sum 'La2 V4 Co4'
_space_group_name_H-M_alt 'I 4/m m m'
_space_group_IT_number 139
_space_group_name_Hall '-I 4 2'
_cell_length_a 4.1045
_cell_length_b 4.1045
_cell_length_c 9.9618
_cell_angle_alpha 90.00
_cell_angle_beta 90.00
_cell_angle_gamma 90.00
loop_
_atom_site_label
_atom_site_type_symbol
_atom_site_fract_x
_atom_site_fract_y
_atom_site_fract_z
La1 La 0.0000 0.0000 0.0000
V1 V 0.0000 0.5000 0.2500
Co1 Co 0.0000 0.0000 0.3661
```